No. 1
Diffraction record for ZrAl3V8. The powder diffractogram is computed, not measured: it uses a structure optimized by DFT (PBE) and Cu Kα.

Atomic structure:
```
data_ZrAl3V8
_chemical_formula_sum 'Zr1 Al3 V8'
_symmetry_space_group_name_H-M 'P 3 m 1'
_symmetry_Int_Tables_number 156
_symmetry_space_group_name_Hall 'P 3 -2"'
_cell_length_a 5.0559
_cell_length_b 5.0559
_cell_length_c 8.2050
_cell_angle_alpha 90.00
_cell_angle_beta 90.00
_cell_angle_gamma 120.00
loop_
_atom_site_label
_atom_site_type_symbol
_atom_site_fract_x
_atom_site_fract_y
_atom_site_fract_z
_atom_site_occupancy
Zr1 Zr 0.0000 0.0000 0.0000 1
Al1 Al 0.0000 0.0000 0.3736 1
Al2 Al 0.6667 0.3333 0.5005 1
Al3 Al 0.6667 0.3333 0.8771 1
V1 V 0.1650 0.3300 0.6776 1
V2 V 0.3333 0.6667 0.4418 1
V3 V 0.3333 0.6667 0.9400 1
V4 V 0.5006 0.0012 0.1933 1
```

Peak list (8 most intense, 10° ≤ 2θ ≤ 90°, most intense first)
two_theta, Rel. int.
41.98, 100
42.75, 93
38.82, 63
71.90, 26
75.17, 24
47.05, 24
20.28, 24
65.98, 23

=====

No. 2
Diffraction record for AcHoGeAu. The powder diffractogram is computed, not measured: it uses a structure optimized by DFT (PBE) and Cu Kα.

Atomic structure:
```
data_AcHoGeAu
_chemical_formula_sum 'Ac4 Ho4 Ge4 Au4'
_symmetry_space_group_name_H-M 'F -4 3 m'
_symmetry_Int_Tables_number 216
_symmetry_space_group_name_Hall 'F -4 2 3'
_cell_length_a 7.523
_cell_length_b 7.523
_cell_length_c 7.523
_cell_angle_alpha 90.00
_cell_angle_beta 90.00
_cell_angle_gamma 90.00
loop_
_atom_site_label
_atom_site_type_symbol
_atom_site_fract_x
_atom_site_fract_y
_atom_site_fract_z
_atom_site_occupancy
Ac1 Ac 0.000 0.000 0.000 1
Ho1 Ho 0.000 0.000 0.500 1
Ge1 Ge 0.250 0.250 0.750 1
Au1 Au 0.250 0.250 0.250 1
```

Peak list (8 most intense, 10° ≤ 2θ ≤ 90°, most intense first)
two_theta, Rel. int.
33.70, 100
60.27, 38
48.40, 18
80.80, 17
70.86, 12
20.45, 9
39.74, 6
23.65, 3

=====

No. 3
Diffraction record for Nd2Dy7Ho4. The powder diffractogram is computed, not measured: it uses a structure optimized by DFT (PBE) and Cu Kα.

Atomic structure:
```
data_Nd2Dy7Ho4
_chemical_formula_sum 'Nd2 Dy7 Ho4'
_symmetry_space_group_name_H-M 'P -3 1 m'
_symmetry_Int_Tables_number 162
_symmetry_space_group_name_Hall '-P 3 2'
_cell_length_a 6.0682
_cell_length_b 6.0682
_cell_length_c 13.3134
_cell_angle_alpha 90.00
_cell_angle_beta 90.00
_cell_angle_gamma 120.00
loop_
_atom_site_label
_atom_site_type_symbol
_atom_site_fract_x
_atom_site_fract_y
_atom_site_fract_z
_atom_site_occupancy
Nd1 Nd 0.3333 0.6667 0.0000 1
Dy1 Dy 0.0000 0.0000 0.0000 1
Dy2 Dy 0.0000 0.3544 0.2177 1
Ho1 Ho 0.0000 0.0000 0.3950 1
Ho2 Ho 0.3333 0.6667 0.5000 1
```

Peak list (8 most intense, 10° ≤ 2θ ≤ 90°, most intense first)
two_theta, Rel. int.
32.43, 100
30.21, 47
35.85, 31
52.22, 30
26.79, 20
50.99, 19
62.82, 18
29.44, 14

=====

No. 4
Diffraction record for NpAg2SnO6. The powder diffractogram is computed, not measured: it uses a structure optimized by DFT (PBE) and Cu Kα.

Atomic structure:
```
data_NpAg2SnO6
_chemical_formula_sum 'Np1 Ag2 Sn1 O6'
_symmetry_space_group_name_H-M 'P 4/m m m'
_symmetry_Int_Tables_number 123
_symmetry_space_group_name_Hall '-P 4 2'
_cell_length_a 5.824
_cell_length_b 5.824
_cell_length_c 4.174
_cell_angle_alpha 90.00
_cell_angle_beta 90.00
_cell_angle_gamma 90.00
loop_
_atom_site_label
_atom_site_type_symbol
_atom_site_fract_x
_atom_site_fract_y
_atom_site_fract_z
_atom_site_occupancy
Np1 Np 0.000 0.000 0.000 1
Ag1 Ag 0.000 0.500 0.500 1
Sn1 Sn 0.500 0.500 0.000 1
O1 O 0.000 0.000 0.500 1
O2 O 0.248 0.248 0.000 1
O3 O 0.500 0.500 0.500 1
```

Peak list (8 most intense, 10° ≤ 2θ ≤ 90°, most intense first)
two_theta, Rel. int.
30.49, 100
30.70, 49
54.46, 40
43.98, 28
54.06, 20
63.46, 18
43.35, 15
87.96, 11

=====

No. 5
Diffraction record for NdSi4Rh6. The powder diffractogram is computed, not measured: it uses a structure optimized by DFT (PBE) and Cu Kα.

Atomic structure:
```
data_NdSi4Rh6
_chemical_formula_sum 'Nd1 Si4 Rh6'
_symmetry_space_group_name_H-M 'P -6 m 2'
_symmetry_Int_Tables_number 187
_symmetry_space_group_name_Hall 'P -6 2'
_cell_length_a 7.0433
_cell_length_b 7.0433
_cell_length_c 3.8217
_cell_angle_alpha 90.00
_cell_angle_beta 90.00
_cell_angle_gamma 120.00
loop_
_atom_site_label
_atom_site_type_symbol
_atom_site_fract_x
_atom_site_fract_y
_atom_site_fract_z
_atom_site_occupancy
Nd1 Nd 0.0000 0.0000 0.0000 1
Si1 Si 0.3333 0.6667 0.0000 1
Si2 Si 0.4032 0.2016 0.5000 1
Rh1 Rh 0.1996 0.3993 0.5000 1
Rh2 Rh 0.5328 0.0655 0.0000 1
```

Peak list (8 most intense, 10° ≤ 2θ ≤ 90°, most intense first)
two_theta, Rel. int.
37.74, 100
39.07, 25
29.28, 19
47.59, 19
45.97, 18
27.54, 18
51.93, 17
44.56, 14

=====

No. 6
Diffraction record for Dy3Zn2Ni7. The powder diffractogram is computed, not measured: it uses a structure optimized by DFT (PBE) and Cu Kα.

Atomic structure:
```
data_Dy3Zn2Ni7
_chemical_formula_sum 'Dy9 Zn6 Ni21'
_symmetry_space_group_name_H-M 'R -3 m'
_symmetry_Int_Tables_number 166
_symmetry_space_group_name_Hall '-R 3 2"'
_cell_length_a 5.1072
_cell_length_b 5.1072
_cell_length_c 23.9590
_cell_angle_alpha 90.00
_cell_angle_beta 90.00
_cell_angle_gamma 120.00
loop_
_atom_site_label
_atom_site_type_symbol
_atom_site_fract_x
_atom_site_fract_y
_atom_site_fract_z
_atom_site_occupancy
Dy1 Dy 0.0000 0.0000 0.0000 1
Dy2 Dy 0.0000 0.0000 0.1394 1
Zn1 Zn 0.0000 0.0000 0.3332 1
Ni1 Ni 0.0000 0.0000 0.5000 1
Ni2 Ni 0.9998 0.4999 0.0834 1
```

Peak list (8 most intense, 10° ≤ 2θ ≤ 90°, most intense first)
two_theta, Rel. int.
42.00, 100
35.14, 58
33.09, 45
40.98, 39
36.22, 36
69.42, 24
67.75, 23
74.28, 23